(1)
Calculated PXRD pattern of CdCu3Cl6 for CuKα, from a crystal structure in Alexandria, relaxed with PBE.

Peak list (6 most intense, 2θ = 10–80°, by angle)
- 25.79°, intensity 100
- 27.95°, intensity 70
- 31.88°, intensity 93
- 38.40°, intensity 55
- 41.70°, intensity 59
- 49.46°, intensity 76

Cell and atoms:
```
10
Lattice="3.1917 1.8428 5.8979 -3.1917 1.8428 5.8979 0.0000 -3.6855 5.8979" Properties=species:S:1:pos:R:3 pbc="T T T"
Cd 0.0000 0.0000 0.0000
Cu 0.0000 0.0000 5.4778
Cu 0.0000 0.0000 9.8900
Cu 0.0000 0.0000 14.1135
Cl -1.1369 -1.6395 6.9426
Cl -2.2631 -0.0275 9.9009
Cl -0.8514 1.8043 6.9426
Cl 1.1553 -1.9462 9.9009
Cl 1.9883 -0.1648 6.9426
Cl 1.1078 1.9736 9.9009
```


(2)
Calculated PXRD pattern of PrEr5Ag6 for CuKα, from a crystal structure in Alexandria, relaxed with PBE.

Peak list (6 most intense, 2θ = 10–80°, by angle)
- 34.75°, intensity 51
- 34.96°, intensity 100
- 62.37°, intensity 18
- 62.48°, intensity 18
- 62.85°, intensity 17
- 73.85°, intensity 11

Cell and atoms:
```
12
Lattice="5.1577 0.0000 0.0000 0.0000 7.2153 0.0000 -2.5614 0.0000 7.7546" Properties=species:S:1:pos:R:3 pbc="T T T"
Pr 0.0000 0.0000 0.0000
Er 0.0000 3.6077 0.0000
Er 0.0115 0.0000 5.1459
Er 0.0114 3.6077 5.1893
Er 2.5850 3.6077 2.5653
Er 2.5849 0.0000 2.6087
Ag 0.0069 1.8446 2.6590
Ag 0.0069 5.3707 2.6590
Ag 2.5789 1.9033 0.0000
Ag 2.5789 5.3120 0.0000
Ag 2.5895 1.8446 5.0956
Ag 2.5895 5.3707 5.0956
```


(3)
Calculated PXRD pattern of Ac4Ni2Ag for CuKα, from a crystal structure in Alexandria, relaxed with PBE.

Peak list (6 most intense, 2θ = 10–80°, by angle)
- 27.18°, intensity 100
- 28.22°, intensity 54
- 28.65°, intensity 95
- 30.54°, intensity 53
- 42.28°, intensity 50
- 50.71°, intensity 38

Cell and atoms:
```
14
Lattice="2.1532 -7.1102 0.0000 2.1532 7.1102 0.0000 0.0000 0.0000 14.7907" Properties=species:S:1:pos:R:3 pbc="T T T"
Ac 0.0000 0.0000 0.0000
Ac 0.0000 0.0000 7.3954
Ac 2.1532 3.3398 9.0684
Ac 2.1532 3.3398 13.1177
Ac 2.1532 0.8352 3.6977
Ac 2.1532 -0.8352 11.0930
Ac 2.1532 -3.3398 1.6730
Ac 2.1532 -3.3398 5.7223
Ni 2.1532 1.8721 0.8956
Ni 2.1532 1.8721 6.4997
Ni 2.1532 -1.8721 8.2910
Ni 2.1532 -1.8721 13.8951
Ag 2.1532 5.4325 3.6977
Ag 2.1532 -5.4325 11.0930
```